Simulated XRD peak list of CeAl4Sn for Cu Kα (weighted mean of Kα1 and Kα2), from DFT lattice parameters and positions (PBE).
Kinematic intensities with the Lorentz-polarization factor, no thermal factor.

Main lines, by angle (10 to 90 degrees two-theta):
d (Å)  2θ (°)  I_rel
4.573  19.4  51
2.800  32.0  93
2.388  37.7  100
1.617  57.0  36
1.524  60.8  33
1.400  66.8  22

Structural model:
a b c (Å): 5.6005 5.6005 5.6005
angles (deg): 60.00 60.00 60.00
Atoms (fractional coordinates):
Ce: 0.0000 0.0000 0.0000
Al: 0.3754 0.3754 0.3754
Al: 0.3754 0.3754 0.8739
Al: 0.3754 0.8739 0.3754
Al: 0.8739 0.3754 0.3754
Sn: 0.7500 0.7500 0.7500

Simulated XRD peak list of CeTaAl for Cu Kα (weighted mean of Kα1 and Kα2), from DFT lattice parameters and positions (PBE).
Kinematic intensities with the Lorentz-polarization factor, no thermal factor.

Main lines, by angle (10 to 90 degrees two-theta):
d (Å)  2θ (°)  I_rel
4.549  19.5  100
2.595  34.6  36
2.506  35.8  71
2.469  36.4  31
2.195  41.1  79
2.170  41.6  42

Structural model:
a b c (Å): 6.7139 5.7312 5.3992
angles (deg): 74.13 55.20 50.67
Atoms (fractional coordinates):
Ce: 0.1830 0.8170 0.1830
Ce: 0.8170 0.1830 0.8170
Ta: 0.2500 0.2500 0.2500
Ta: 0.7500 0.7500 0.7500
Al: 0.3503 0.3503 0.6497
Al: 0.6497 0.6497 0.3503

Simulated XRD peak list of TbCe3Al8 for Cu Kα (weighted mean of Kα1 and Kα2), from DFT lattice parameters and positions (PBE).
Kinematic intensities with the Lorentz-polarization factor, no thermal factor.

Main lines, by angle (10 to 90 degrees two-theta):
d (Å)  2θ (°)  I_rel
4.870  18.2  38
4.290  20.7  42
2.812  31.8  74
2.566  35.0  100
2.389  37.7  52
1.572  58.7  43

Structural model:
a b c (Å): 5.6236 5.6236 9.0592
angles (deg): 90.00 90.00 120.00
Atoms (fractional coordinates):
Tb: 0.0000 0.0000 0.0000
Ce: 0.0000 0.0000 0.3626
Ce: 0.6667 0.3333 0.5153
Ce: 0.6667 0.3333 0.8428
Al: 0.1617 0.3234 0.6802
Al: 0.1617 0.8383 0.6802
Al: 0.3333 0.6667 0.4279
Al: 0.3333 0.6667 0.9276
Al: 0.5049 0.0098 0.1776
Al: 0.5049 0.4951 0.1776
Al: 0.6766 0.8383 0.6802
Al: 0.9902 0.4951 0.1776

Simulated XRD peak list of TbCe2Al6 for Cu Kα (weighted mean of Kα1 and Kα2), from DFT lattice parameters and positions (PBE).
Kinematic intensities with the Lorentz-polarization factor, no thermal factor.

Main lines, by angle (10 to 90 degrees two-theta):
d (Å)  2θ (°)  I_rel
3.995  22.3  67
2.645  33.9  100
2.307  39.1  45
1.738  52.6  28
1.402  66.7  18
1.388  67.5  27

Structural model:
a b c (Å): 7.9902 7.9902 3.5295
angles (deg): 90.00 90.00 120.00
Atoms (fractional coordinates):
Tb: 0.0000 0.0000 0.0000
Ce: 0.3333 0.6667 0.0000
Ce: 0.6667 0.3333 0.0000
Al: 0.0000 0.3323 0.5000
Al: 0.0000 0.6677 0.5000
Al: 0.3323 0.0000 0.5000
Al: 0.3323 0.3323 0.5000
Al: 0.6677 0.0000 0.5000
Al: 0.6677 0.6677 0.5000

Simulated XRD peak list of TbCe2Al2Zn2 for Cu Kα (weighted mean of Kα1 and Kα2), from DFT lattice parameters and positions (PBE).
Kinematic intensities with the Lorentz-polarization factor, no thermal factor.

Main lines, by angle (10 to 90 degrees two-theta):
d (Å)  2θ (°)  I_rel
3.758  23.7  39
2.713  33.0  100
2.530  35.5  54
2.191  41.2  81
1.704  53.8  25
1.396  67.1  28

Structural model:
a b c (Å): 9.4018 9.4018 9.4018
angles (deg): 26.95 26.95 26.95
Atoms (fractional coordinates):
Tb: 0.0000 0.0000 0.0000
Ce: 0.1416 0.1416 0.1416
Ce: 0.8584 0.8584 0.8584
Al: 0.2631 0.2631 0.2631
Al: 0.7369 0.7369 0.7369
Zn: 0.4015 0.4015 0.4015
Zn: 0.5985 0.5985 0.5985

Simulated XRD peak list of Ce2Al3Tc for Cu Kα (weighted mean of Kα1 and Kα2), from DFT lattice parameters and positions (PBE).
Kinematic intensities with the Lorentz-polarization factor, no thermal factor.

Main lines, by angle (10 to 90 degrees two-theta):
d (Å)  2θ (°)  I_rel
4.565  19.4  44
2.743  32.6  76
2.563  35.0  46
2.351  38.3  100
1.547  59.8  20
1.496  62.0  24

Structural model:
a b c (Å): 5.4863 5.4863 9.1291
angles (deg): 90.00 90.00 120.00
Atoms (fractional coordinates):
Ce: 0.3333 0.6667 0.0487
Ce: 0.3333 0.6667 0.4513
Ce: 0.6667 0.3333 0.5487
Ce: 0.6667 0.3333 0.9513
Al: 0.1629 0.3257 0.7500
Al: 0.1629 0.8371 0.7500
Al: 0.3257 0.1629 0.2500
Al: 0.6743 0.8371 0.7500
Al: 0.8371 0.1629 0.2500
Al: 0.8371 0.6743 0.2500
Tc: 0.0000 0.0000 0.0000
Tc: 0.0000 0.0000 0.5000

Simulated XRD peak list of Ce3AlTc for Cu Kα (weighted mean of Kα1 and Kα2), from DFT lattice parameters and positions (PBE).
Kinematic intensities with the Lorentz-polarization factor, no thermal factor.

Main lines, by angle (10 to 90 degrees two-theta):
d (Å)  2θ (°)  I_rel
5.148  17.2  76
2.816  31.8  57
2.714  33.0  56
2.574  34.9  100
2.517  35.7  60
2.368  38.0  67

Structural model:
a b c (Å): 9.1330 6.0495 10.3022
angles (deg): 90.00 122.28 90.00
Atoms (fractional coordinates):
Ce: 0.0362 0.0346 0.3048
Ce: 0.0362 0.4654 0.8048
Ce: 0.3190 0.1756 0.6985
Ce: 0.3190 0.3244 0.1985
Ce: 0.3764 0.6884 0.9253
Ce: 0.3764 0.8116 0.4253
Ce: 0.6236 0.1884 0.5747
Ce: 0.6236 0.3116 0.0747
Ce: 0.6810 0.6756 0.8015
Ce: 0.6810 0.8244 0.3015
Ce: 0.9638 0.5346 0.1952
Ce: 0.9638 0.9654 0.6952
Al: 0.1369 0.6617 0.5586
Al: 0.1369 0.8383 0.0586
Al: 0.8631 0.1617 0.9414
Al: 0.8631 0.3383 0.4414
Tc: 0.2829 0.1385 0.9651
Tc: 0.2829 0.3615 0.4651
Tc: 0.7171 0.6385 0.5349
Tc: 0.7171 0.8615 0.0349

Simulated XRD peak list of Ce6AlTc2 for Cu Kα (weighted mean of Kα1 and Kα2), from DFT lattice parameters and positions (PBE).
Kinematic intensities with the Lorentz-polarization factor, no thermal factor.

Main lines, by angle (10 to 90 degrees two-theta):
d (Å)  2θ (°)  I_rel
8.638  10.2  76
3.034  29.4  41
2.785  32.1  93
2.720  32.9  84
2.587  34.7  76
2.486  36.1  100

Structural model:
a b c (Å): 5.6469 5.6469 8.6843
angles (deg): 95.32 95.32 52.24
Atoms (fractional coordinates):
Ce: 0.0510 0.0510 0.3591
Ce: 0.3034 0.3034 0.8899
Ce: 0.3927 0.3927 0.3245
Ce: 0.6073 0.6073 0.6755
Ce: 0.6966 0.6966 0.1101
Ce: 0.9490 0.9490 0.6409
Al: 0.0000 0.0000 0.0000
Tc: 0.2714 0.2714 0.6176
Tc: 0.7286 0.7286 0.3824

Simulated XRD peak list of Ce2AlTe5 for Cu Kα (weighted mean of Kα1 and Kα2), from DFT lattice parameters and positions (PBE).
Kinematic intensities with the Lorentz-polarization factor, no thermal factor.

Main lines, by angle (10 to 90 degrees two-theta):
d (Å)  2θ (°)  I_rel
3.282  27.2  65
3.019  29.6  58
2.942  30.4  82
2.853  31.4  100
2.793  32.0  57
2.736  32.7  94

Structural model:
a b c (Å): 8.5828 12.8989 4.2561
angles (deg): 90.00 90.00 90.00
Atoms (fractional coordinates):
Ce: 0.0307 0.1775 0.0000
Ce: 0.4693 0.6775 0.0000
Ce: 0.5307 0.3225 0.0000
Ce: 0.9693 0.8225 0.0000
Al: 0.0000 0.5000 0.5000
Al: 0.5000 0.0000 0.5000
Te: 0.0000 0.0000 0.5000
Te: 0.1688 0.4106 0.0000
Te: 0.1733 0.6888 0.5000
Te: 0.3267 0.1888 0.5000
Te: 0.3312 0.9106 0.0000
Te: 0.5000 0.5000 0.5000
Te: 0.6688 0.0894 0.0000
Te: 0.6733 0.8112 0.5000
Te: 0.8267 0.3112 0.5000
Te: 0.8312 0.5894 0.0000

Simulated XRD peak list of Ce3ThAl8 for Cu Kα (weighted mean of Kα1 and Kα2), from DFT lattice parameters and positions (PBE).
Kinematic intensities with the Lorentz-polarization factor, no thermal factor.

Main lines, by angle (10 to 90 degrees two-theta):
d (Å)  2θ (°)  I_rel
4.878  18.2  43
4.305  20.6  47
2.816  31.8  73
2.588  34.7  100
2.399  37.5  54
1.578  58.5  43

Structural model:
a b c (Å): 5.6321 5.6321 9.1603
angles (deg): 90.00 90.00 120.00
Atoms (fractional coordinates):
Ce: 0.0000 0.0000 0.0000
Ce: 0.0000 0.0000 0.3397
Ce: 0.3333 0.6667 0.8524
Th: 0.3333 0.6667 0.4937
Al: 0.0079 0.5039 0.1711
Al: 0.3247 0.1623 0.6723
Al: 0.4961 0.5039 0.1711
Al: 0.4961 0.9921 0.1711
Al: 0.6667 0.3333 0.4200
Al: 0.6667 0.3333 0.9217
Al: 0.8377 0.1623 0.6723
Al: 0.8377 0.6753 0.6723

Simulated XRD peak list of CeThAl for Cu Kα (weighted mean of Kα1 and Kα2), from DFT lattice parameters and positions (PBE).
Kinematic intensities with the Lorentz-polarization factor, no thermal factor.

Main lines, by angle (10 to 90 degrees two-theta):
d (Å)  2θ (°)  I_rel
3.950  22.5  78
2.898  30.9  42
2.741  32.7  100
2.699  33.2  100
2.494  36.0  43
2.480  36.2  46

Structural model:
a b c (Å): 5.9290 5.9290 6.6533
angles (deg): 113.80 113.80 49.45
Atoms (fractional coordinates):
Ce: 0.0221 0.0221 0.2892
Ce: 0.9779 0.9779 0.7108
Th: 0.3145 0.3145 0.8696
Th: 0.6855 0.6855 0.1304
Al: 0.3599 0.3599 0.3880
Al: 0.6401 0.6401 0.6120

Simulated XRD peak list of CeTi2Al20 for Cu Kα (weighted mean of Kα1 and Kα2), from DFT lattice parameters and positions (PBE).
Kinematic intensities with the Lorentz-polarization factor, no thermal factor.

Main lines, by angle (10 to 90 degrees two-theta):
d (Å)  2θ (°)  I_rel
5.191  17.1  50
4.427  20.1  78
2.482  36.2  100
2.322  38.8  68
2.239  40.3  91
2.213  40.8  66

Structural model:
a b c (Å): 10.3821 10.3821 10.3821
angles (deg): 60.00 60.00 60.00
Atoms (fractional coordinates):
Ce: 0.1250 0.1250 0.1250
Ce: 0.8750 0.8750 0.8750
Ti: 0.0000 0.5000 0.5000
Ti: 0.5000 0.0000 0.5000
Ti: 0.5000 0.5000 0.0000
Ti: 0.5000 0.5000 0.5000
Al: 0.0000 0.0000 0.0000
Al: 0.0000 0.0000 0.5000
Al: 0.0000 0.5000 0.0000
Al: 0.0570 0.3243 0.3243
Al: 0.0570 0.3243 0.7945
Al: 0.0570 0.7945 0.3243
Al: 0.2055 0.6757 0.6757
Al: 0.2055 0.6757 0.9430
Al: 0.2055 0.9430 0.6757
Al: 0.2370 0.2370 0.5130
Al: 0.2370 0.5130 0.2370
Al: 0.2370 0.5130 0.5130
Al: 0.3243 0.0570 0.3243
Al: 0.3243 0.0570 0.7945
Al: 0.3243 0.3243 0.0570
Al: 0.3243 0.3243 0.7945
Al: 0.3243 0.7945 0.0570
Al: 0.3243 0.7945 0.3243
Al: 0.4870 0.4870 0.7630
Al: 0.4870 0.7630 0.4870
Al: 0.4870 0.7630 0.7630
Al: 0.5000 0.0000 0.0000
Al: 0.5130 0.2370 0.2370
Al: 0.5130 0.2370 0.5130
Al: 0.5130 0.5130 0.2370
Al: 0.6757 0.2055 0.6757
Al: 0.6757 0.2055 0.9430
Al: 0.6757 0.6757 0.2055
Al: 0.6757 0.6757 0.9430
Al: 0.6757 0.9430 0.2055
Al: 0.6757 0.9430 0.6757
Al: 0.7630 0.4870 0.4870
Al: 0.7630 0.4870 0.7630
Al: 0.7630 0.7630 0.4870
Al: 0.7945 0.0570 0.3243
Al: 0.7945 0.3243 0.0570
Al: 0.7945 0.3243 0.3243
Al: 0.9430 0.2055 0.6757
Al: 0.9430 0.6757 0.2055
Al: 0.9430 0.6757 0.6757

Simulated XRD peak list of Ce6AlTl for Cu Kα (weighted mean of Kα1 and Kα2), from DFT lattice parameters and positions (PBE).
Kinematic intensities with the Lorentz-polarization factor, no thermal factor.

Main lines, by angle (10 to 90 degrees two-theta):
d (Å)  2θ (°)  I_rel
2.742  32.7  100
2.375  37.9  50
1.679  54.7  34
1.434  65.1  13
1.431  65.2  27
1.371  68.4  11

Structural model:
a b c (Å): 4.7460 4.7460 9.5125
angles (deg): 90.00 90.00 90.00
Atoms (fractional coordinates):
Ce: 0.0000 0.0000 0.0000
Ce: 0.0000 0.0000 0.5000
Ce: 0.0000 0.5000 0.2400
Ce: 0.0000 0.5000 0.7600
Ce: 0.5000 0.0000 0.2400
Ce: 0.5000 0.0000 0.7600
Al: 0.5000 0.5000 0.0000
Tl: 0.5000 0.5000 0.5000